No. 1
Starting from a crystal structure in Alexandria, relaxed with GGA-PBE, the powder diffractogram of MgPN was computed for Cu Ka.
Peak positions follow from Bragg's law for the DFT cell and can differ from measured ones.

The 10 most intense peaks (10 to 80 degrees two-theta), most intense first:
d_spacing	2θ/deg	I/Imax	(hkl)
2.412	37.3	100	1 2 1
4.649	19.1	47	0 1 1
2.701	33.2	34	0 3 1
2.030	44.6	34	1 1 2
2.812	31.8	27	1 0 1
2.676	33.5	22	0 0 2
2.347	38.4	22	0 4 0
1.394	67.2	21	1 5 2
1.652	55.6	19	2 0 0
1.367	68.7	17	1 6 1

Structural model:
```
data_MgPN
_cell_length_a 3.304
_cell_length_b 9.387
_cell_length_c 5.352
_cell_angle_alpha 90.00
_cell_angle_beta 90.00
_cell_angle_gamma 90.00
_symmetry_space_group_name_H-M 'I m m 2'
_symmetry_Int_Tables_number 44
_symmetry_space_group_name_Hall 'I 2 -2'
loop_
_atom_site_label
_atom_site_fract_x
_atom_site_fract_y
_atom_site_fract_z
Mg1 0.000 0.223 0.000
P1 0.000 0.000 0.509
P2 0.000 0.500 0.295
N1 0.000 0.154 0.370
```

=====

No. 2
Starting from a crystal structure in Alexandria, relaxed with GGA-PBE, the powder diffractogram of Li8SiSe6 was computed for Cu Ka.
Peak positions follow from Bragg's law for the DFT cell and can differ from measured ones.

The 10 most intense peaks (10 to 80 degrees two-theta), most intense first:
d_spacing	2θ/deg	I/Imax	(hkl)
3.201	27.9	100	2 1 1
3.238	27.5	62	1 2 1
3.099	28.8	60	0 2 2
1.881	48.4	57	2 2 4
3.763	23.6	52	1 1 2
3.053	29.3	47	2 0 2
3.195	27.9	40	1 0 3
2.045	44.3	30	0 1 5
2.064	43.9	30	2 3 1
1.599	57.7	26	2 0 6

Structural model:
```
data_Li8SiSe6
_cell_length_a 7.467
_cell_length_b 7.639
_cell_length_c 10.606
_cell_angle_alpha 90.00
_cell_angle_beta 90.00
_cell_angle_gamma 90.00
_symmetry_space_group_name_H-M 'P m n 21'
_symmetry_Int_Tables_number 31
_symmetry_space_group_name_Hall 'P 2ac -2'
loop_
_atom_site_label
_atom_site_fract_x
_atom_site_fract_y
_atom_site_fract_z
Li1 0.000 0.124 0.000
Li2 0.000 0.245 0.449
Li3 0.180 0.623 0.117
Li4 0.196 0.576 0.809
Li5 0.231 0.934 0.766
Si1 0.000 0.751 0.467
Se1 0.000 0.294 0.218
Se2 0.000 0.506 0.597
Se3 0.000 0.775 0.944
Se4 0.000 0.991 0.593
Se5 0.249 0.251 0.845
```

=====

No. 3
Starting from a crystal structure in Alexandria, relaxed with GGA-PBE, the powder diffractogram of CuPd4Pt4 was computed for Cu Ka.
Peak positions follow from Bragg's law for the DFT cell and can differ from measured ones.

The 10 most intense peaks (10 to 80 degrees two-theta), most intense first:
d_spacing	2θ/deg	I/Imax	(hkl)
2.271	39.7	100	3 0 1
1.956	46.4	32	3 3 0
1.394	67.1	21	3 3 2
1.989	45.6	20	0 0 2
1.383	67.8	10	6 0 0
3.586	24.8	9	1 0 1
4.149	21.4	5	2 0 0
2.624	34.2	4	3 1 0
1.532	60.4	3	4 3 1
1.585	58.2	2	3 1 2

Structural model:
```
data_CuPd4Pt4
_cell_length_a 8.298
_cell_length_b 8.298
_cell_length_c 3.976
_cell_angle_alpha 90.00
_cell_angle_beta 90.00
_cell_angle_gamma 90.00
_symmetry_space_group_name_H-M 'I 4/m m m'
_symmetry_Int_Tables_number 139
_symmetry_space_group_name_Hall '-I 4 2'
loop_
_atom_site_label
_atom_site_fract_x
_atom_site_fract_y
_atom_site_fract_z
Cu1 0.000 0.000 0.000
Pd1 0.000 0.329 0.000
Pt1 0.163 0.163 0.500
```

=====

No. 4
Starting from a crystal structure in Alexandria, relaxed with GGA-PBE, the powder diffractogram of La4Pr3Sm5 was computed for Cu Ka.
Peak positions follow from Bragg's law for the DFT cell and can differ from measured ones.

The 10 most intense peaks (10 to 80 degrees two-theta), most intense first:
d_spacing	2θ/deg	I/Imax	(hkl)
3.015	29.6	100	2 0 1
2.615	34.3	45	2 0 -2
3.008	29.7	33	-1 2 1
1.577	58.5	24	4 0 -1
1.844	49.4	24	3 2 0
2.599	34.5	22	1 2 2
1.849	49.3	16	3 -2 0
1.569	58.8	14	3 2 3
1.575	58.6	10	0 4 -3
1.507	61.5	8	4 0 2

Structural model:
```
data_La4Pr3Sm5
_cell_length_a 6.402
_cell_length_b 7.358
_cell_length_c 9.052
_cell_angle_alpha 90.30
_cell_angle_beta 90.16
_cell_angle_gamma 90.10
_symmetry_space_group_name_H-M 'P -1'
_symmetry_Int_Tables_number 2
_symmetry_space_group_name_Hall '-P 1'
loop_
_atom_site_label
_atom_site_fract_x
_atom_site_fract_y
_atom_site_fract_z
La1 0.168 0.000 0.168
La2 0.332 0.251 0.831
Pr1 0.332 0.749 0.832
Pr2 0.500 0.500 0.500
Sm1 0.001 0.749 0.500
Sm2 0.166 0.500 0.169
Sm3 0.500 0.000 0.500
```

=====

No. 5
Starting from a crystal structure in Alexandria, relaxed with GGA-PBE, the powder diffractogram of CeReO4 was computed for Cu Ka.
Peak positions follow from Bragg's law for the DFT cell and can differ from measured ones.

The 10 most intense peaks (10 to 80 degrees two-theta), most intense first:
d_spacing	2θ/deg	I/Imax	(hkl)
3.136	28.5	100	2 1 0
3.091	28.9	50	0 1 2
3.068	29.1	41	1 1 -2
2.701	33.2	38	0 2 0
1.631	56.4	27	3 1 -4
1.809	50.4	22	2 2 2
1.933	47.0	21	1 0 -4
1.787	51.1	18	3 2 -2
1.659	55.4	15	1 1 4
1.571	58.8	14	1 2 -4

Structural model:
```
data_CeReO4
_cell_length_a 7.904
_cell_length_b 5.399
_cell_length_c 7.733
_cell_angle_alpha 90.00
_cell_angle_beta 102.84
_cell_angle_gamma 90.00
_symmetry_space_group_name_H-M 'P 1 21/c 1'
_symmetry_Int_Tables_number 14
_symmetry_space_group_name_Hall '-P 2ybc'
loop_
_atom_site_label
_atom_site_fract_x
_atom_site_fract_y
_atom_site_fract_z
Ce1 0.138 0.221 0.403
Re1 0.333 0.738 0.206
O1 0.119 0.508 0.177
O2 0.153 0.001 0.130
O3 0.310 0.647 0.948
O4 0.483 0.033 0.776
```

=====

No. 6
Starting from a crystal structure in Alexandria, relaxed with GGA-PBE, the powder diffractogram of Ce2SmAg2Pb2 was computed for Cu Ka.
Peak positions follow from Bragg's law for the DFT cell and can differ from measured ones.

The 10 most intense peaks (10 to 80 degrees two-theta), most intense first:
d_spacing	2θ/deg	I/Imax	(hkl)
2.851	31.4	100	1 0 7
2.418	37.2	77	1 1 0
1.844	49.4	28	0 2 7
1.466	63.4	26	2 1 7
1.396	67.0	14	3 0 0
1.764	51.8	13	0 1 14
3.568	25.0	10	1 0 4
2.642	33.9	9	0 1 8
1.209	79.2	9	2 2 0
1.228	77.8	8	1 2 14

Structural model:
```
data_Ce2SmAg2Pb2
_cell_length_a 4.8369
_cell_length_b 4.8369
_cell_length_c 27.2365
_cell_angle_alpha 90.00
_cell_angle_beta 90.00
_cell_angle_gamma 120.00
_symmetry_space_group_name_H-M 'R -3 m'
_symmetry_Int_Tables_number 166
_symmetry_space_group_name_Hall '-R 3 2"'
loop_
_atom_site_label
_atom_site_fract_x
_atom_site_fract_y
_atom_site_fract_z
Ce1 0.0000 0.0000 0.1443
Sm1 0.0000 0.0000 0.0000
Ag1 0.0000 0.0000 0.4313
Pb1 0.0000 0.0000 0.2697
```

=====

No. 7
Starting from a crystal structure in Alexandria, relaxed with GGA-PBE, the powder diffractogram of SrMg2AlRu was computed for Cu Ka.
Peak positions follow from Bragg's law for the DFT cell and can differ from measured ones.

The 10 most intense peaks (10 to 80 degrees two-theta), most intense first:
d_spacing	2θ/deg	I/Imax	(hkl)
3.488	25.5	100	1 0 1
2.534	35.4	57	2 0 0
3.583	24.9	56	1 1 0
2.050	44.2	45	2 1 1
1.744	52.5	36	2 0 2
2.404	37.4	25	0 0 2
1.997	45.4	21	1 1 2
1.791	51.0	20	2 2 0
1.437	64.9	19	2 2 2
1.333	70.6	12	3 1 2

Structural model:
```
data_SrMg2AlRu
_cell_length_a 5.067
_cell_length_b 5.067
_cell_length_c 4.809
_cell_angle_alpha 90.00
_cell_angle_beta 90.00
_cell_angle_gamma 90.00
_symmetry_space_group_name_H-M 'P 4/m m m'
_symmetry_Int_Tables_number 123
_symmetry_space_group_name_Hall '-P 4 2'
loop_
_atom_site_label
_atom_site_fract_x
_atom_site_fract_y
_atom_site_fract_z
Sr1 0.000 0.000 0.000
Mg1 0.000 0.500 0.500
Al1 0.500 0.500 0.000
Ru1 0.500 0.500 0.500
```

=====

No. 8
Starting from a crystal structure in Alexandria, relaxed with GGA-PBE, the powder diffractogram of LiRe2 was computed for Cu Ka.
Peak positions follow from Bragg's law for the DFT cell and can differ from measured ones.

The 10 most intense peaks (10 to 80 degrees two-theta), most intense first:
d_spacing	2θ/deg	I/Imax	(hkl)
2.223	40.6	100	1 1 0
2.176	41.5	94	0 1 3
3.736	23.8	90	0 1 1
1.810	50.4	54	1 0 3
3.786	23.5	49	0 0 2
2.147	42.1	45	0 2 0
1.384	67.7	45	1 2 3
1.917	47.4	30	1 1 2
2.457	36.6	30	1 0 1
1.617	57.0	17	1 2 1

Structural model:
```
data_LiRe2
_cell_length_a 2.597
_cell_length_b 4.294
_cell_length_c 7.572
_cell_angle_alpha 90.00
_cell_angle_beta 90.00
_cell_angle_gamma 90.00
_symmetry_space_group_name_H-M 'I m m m'
_symmetry_Int_Tables_number 71
_symmetry_space_group_name_Hall '-I 2 2'
loop_
_atom_site_label
_atom_site_fract_x
_atom_site_fract_y
_atom_site_fract_z
Li1 0.000 0.000 0.000
Re1 0.000 0.000 0.333
```